AlCr3O8: simulated powder X-ray diffraction pattern (a wavelength of 1.5418 Å), based on a structure optimized by DFT (GGA+U).
Lines closer than 0.1° are merged.

Structural model:
```
AlCr3O8
1.0
2.940 1.697 4.709
-2.940 1.697 4.709
0.000 -3.395 4.709
Al Cr O
1 3 8
Cartesian
0.000 0.000 0.000
-2.940 0.000 7.064
-1.470 0.849 2.355
1.470 0.849 2.355
-1.685 -0.973 8.157
0.000 -1.945 5.971
-1.685 0.973 5.971
0.000 0.000 3.336
0.000 0.000 10.792
1.685 -0.973 8.157
0.000 1.945 8.157
1.685 0.973 5.971
```

Top 8 peaks for 2θ = 10–80°, sorted by position:
d 4.791, 18.5°, I 100; d 4.709, 18.8°, I 70; d 2.506, 35.8°, I 26; d 2.494, 36.0°, I 18; d 2.065, 43.8°, I 80; d 1.591, 58.0°, I 10; d 1.470, 63.3°, I 20; d 1.451, 64.2°, I 20

---

AlCr3O9: simulated powder X-ray diffraction pattern (a wavelength of 1.5418 Å), based on a structure optimized by DFT (GGA+U).
Lines closer than 0.1° are merged.

Structural model:
```
AlCr3O9
1.0
6.937 -3.440 0.000
6.937 3.440 0.000
-5.861 0.000 8.106
Al Cr O
2 6 18
Cartesian
4.006 1.813 4.053
6.937 -1.813 0.000
-0.886 0.204 6.176
2.044 -0.204 2.124
6.832 0.557 2.614
3.902 -0.557 6.667
11.010 0.693 1.464
8.080 -0.693 5.516
1.339 0.519 0.789
2.779 2.726 5.182
0.593 1.064 5.756
-1.592 -0.519 4.842
2.551 0.824 3.340
5.256 1.114 2.817
7.928 1.949 2.770
-0.380 -0.824 7.393
3.524 -1.064 1.703
4.264 0.414 5.342
7.195 -0.414 1.289
4.168 0.445 8.092
2.325 -1.114 6.870
7.099 -0.445 4.039
7.592 0.279 6.775
5.709 -2.726 1.129
10.522 -0.279 2.722
4.998 -1.949 6.823
```

Top 8 peaks for 2θ = 10–80°, sorted by position:
d 4.184, 21.2°, I 99; d 4.053, 21.9°, I 28; d 3.947, 22.5°, I 26; d 3.626, 24.5°, I 100; d 3.440, 25.9°, I 20; d 3.291, 27.1°, I 45; d 2.967, 30.1°, I 14; d 2.384, 37.7°, I 16

---

AlCrO3: simulated powder X-ray diffraction pattern (a wavelength of 1.5418 Å), based on a structure optimized by DFT (GGA+U).
Lines closer than 0.1° are merged.

Structural model:
```
AlCrO3
1.0
3.072 0.000 0.000
0.010 5.106 0.000
0.038 2.491 7.055
Al Cr O
2 2 6
Cartesian
0.771 1.872 0.869
2.349 5.725 6.187
0.790 2.542 3.692
2.329 5.054 3.363
0.792 4.368 4.488
0.812 6.050 7.033
0.783 0.928 2.404
2.336 6.669 4.651
2.308 1.547 0.023
2.328 3.228 2.567
```

Top 8 peaks for 2θ = 10–80°, sorted by position:
d 7.055, 12.5°, I 100; d 4.788, 18.5°, I 26; d 3.528, 25.2°, I 51; d 3.444, 25.9°, I 25; d 2.590, 34.6°, I 48; d 2.301, 39.1°, I 37; d 2.060, 44.0°, I 27; d 1.926, 47.2°, I 28

---

PaAl2CrO8: simulated powder X-ray diffraction pattern (a wavelength of 1.5418 Å), based on a structure optimized by DFT (GGA+U).
Lines closer than 0.1° are merged.

Structural model:
```
PaAl2CrO8
1.0
3.211 -3.271 0.000
3.211 3.271 0.000
0.000 0.000 6.230
Pa Al Cr O
1 2 1 8
Cartesian
0.000 0.000 0.000
3.211 0.000 1.639
3.211 0.000 4.590
0.000 0.000 3.115
1.331 0.000 1.734
1.331 0.000 4.496
3.211 1.316 3.115
3.211 1.163 0.000
3.211 -1.163 0.000
3.211 -1.316 3.115
5.091 0.000 1.734
5.091 0.000 4.496
```

Top 8 peaks for 2θ = 10–80°, sorted by position:
d 6.230, 14.2°, I 47; d 4.583, 19.4°, I 100; d 3.692, 24.1°, I 70; d 3.271, 27.3°, I 60; d 3.211, 27.8°, I 54; d 2.576, 34.8°, I 86; d 2.236, 40.3°, I 40; d 1.721, 53.2°, I 41

---

AlTl2CrO4: simulated powder X-ray diffraction pattern (a wavelength of 1.5418 Å), based on a structure optimized by DFT (GGA+U).
Lines closer than 0.1° are merged.

Structural model:
```
AlTl2CrO4
1.0
0.000 5.845 10.064
2.658 0.000 10.064
2.658 5.845 0.000
Al Tl Cr O
2 4 2 8
Cartesian
0.665 1.461 2.516
4.652 10.229 17.612
1.994 4.384 3.845
3.323 7.306 8.877
1.994 4.384 11.251
3.323 7.306 16.283
1.994 4.384 7.548
3.323 7.306 12.580
3.413 3.338 8.309
3.413 5.430 6.787
4.742 6.260 11.819
4.742 8.353 13.341
0.575 3.338 6.787
0.575 5.430 8.309
1.904 6.260 13.341
1.904 8.353 11.819
```

Top 8 peaks for 2θ = 10–80°, sorted by position:
d 5.051, 17.6°, I 47; d 4.706, 18.9°, I 42; d 3.925, 22.7°, I 100; d 3.098, 28.8°, I 80; d 2.910, 30.7°, I 71; d 2.846, 31.4°, I 64; d 2.477, 36.3°, I 54; d 2.420, 37.2°, I 54

---

AlCrW2O8: simulated powder X-ray diffraction pattern (a wavelength of 1.5418 Å), based on a structure optimized by DFT (GGA+U).
Lines closer than 0.1° are merged.

Structural model:
```
AlCrW2O8
1.0
5.104 0.000 0.000
0.000 5.546 0.000
-5.024 0.000 9.170
Al Cr W O
2 2 4 16
Cartesian
-1.256 0.850 2.292
-3.768 4.696 6.877
-1.216 0.770 6.877
1.296 4.776 2.292
1.284 1.859 0.007
-1.228 3.687 4.592
1.308 1.859 4.578
-1.204 3.687 9.163
-2.047 2.132 5.620
0.466 3.413 1.035
0.353 0.669 1.280
-2.160 4.877 5.864
-2.962 0.645 7.917
-0.450 4.901 3.333
-0.398 2.084 3.502
-2.910 3.462 8.086
2.990 2.084 1.083
0.477 3.462 5.668
0.529 0.645 5.837
3.042 4.901 1.252
2.239 0.669 3.305
-0.273 4.877 7.890
-0.386 2.132 8.135
2.126 3.413 3.550
```

Top 8 peaks for 2θ = 10–80°, sorted by position:
d 4.585, 19.4°, I 84; d 3.756, 23.7°, I 83; d 3.534, 25.2°, I 76; d 2.914, 30.7°, I 100; d 2.896, 30.9°, I 98; d 2.437, 36.9°, I 49; d 2.148, 42.1°, I 38; d 1.714, 53.5°, I 49